For NpNi2PdO8, a structure optimized by DFT (PBE+U) gives the computed powder XRD pattern in this record (Cu Kα).

Top 8 peaks for 2θ from 5° to 70°, by angle:
18.81°, intensity 52
26.12°, intensity 66
27.32°, intensity 59
34.35°, intensity 100
38.16°, intensity 28
51.59°, intensity 43
52.95°, intensity 39
66.54°, intensity 24

Structural model:
Cell: 6.528 6.822 6.270 Å, 90.00 90.00 90.00°
Space group Cmmm (No. 65)
Symmetry-distinct sites (fractional):
Np 0.000 0.000 0.000 x2
Ni 0.000 0.500 0.260 x4
Pd 0.000 0.000 0.500 x2
O 0.000 0.195 0.252 x8
O 0.199 0.500 0.500 x4
O 0.200 0.500 0.000 x4